Tm2Ge2PdRh5: simulated powder X-ray diffraction pattern (copper Kα), based on a GGA-PBE-relaxed structure.
Lines closer than 0.1° are merged.

Largest 10 diffraction maxima, in order of falling intensity, 10° ≤ 2θ ≤ 90°:
2.329 Å, 2θ = 38.67°, I = 100; 2.147 Å, 2θ = 42.08°, I = 32; 2.771 Å, 2θ = 32.31°, I = 21; 1.431 Å, 2θ = 65.20°, I = 17; 2.478 Å, 2θ = 36.24°, I = 16; 1.813 Å, 2θ = 50.33°, I = 15; 1.386 Å, 2θ = 67.60°, I = 13; 2.264 Å, 2θ = 39.82°, I = 12; 2.002 Å, 2θ = 45.30°, I = 7; 1.123 Å, 2θ = 86.71°, I = 7

Atomic structure:
Unit cell a=9.605 b=9.605 c=3.626 alpha=90.00 beta=90.00 gamma=90.00
Positions (direct):
Tm1 0.174 0.326 0.000
Tm2 0.326 0.826 0.000
Tm3 0.674 0.174 0.000
Tm4 0.826 0.674 0.000
Ge1 0.126 0.626 0.000
Ge2 0.374 0.126 0.000
Ge3 0.626 0.874 0.000
Ge4 0.874 0.374 0.000
Pd1 0.000 0.000 0.000
Pd2 0.500 0.500 0.000
Rh1 0.000 0.500 0.500
Rh2 0.068 0.792 0.500
Rh3 0.208 0.068 0.500
Rh4 0.292 0.568 0.500
Rh5 0.432 0.292 0.500
Rh6 0.500 0.000 0.500
Rh7 0.568 0.708 0.500
Rh8 0.708 0.432 0.500
Rh9 0.792 0.932 0.500
Rh10 0.932 0.208 0.500

SbBr4: simulated powder X-ray diffraction pattern (copper Kα), based on a GGA-PBE-relaxed structure.
Lines closer than 0.1° are merged.

Largest 10 diffraction maxima, in order of falling intensity, 10° ≤ 2θ ≤ 90°:
5.475 Å, 2θ = 16.19°, I = 100; 3.485 Å, 2θ = 25.56°, I = 83; 2.063 Å, 2θ = 43.88°, I = 43; 2.472 Å, 2θ = 36.35°, I = 35; 2.243 Å, 2θ = 40.20°, I = 27; 3.441 Å, 2θ = 25.89°, I = 25; 3.150 Å, 2θ = 28.33°, I = 20; 1.957 Å, 2θ = 46.41°, I = 16; 1.844 Å, 2θ = 49.44°, I = 16; 1.263 Å, 2θ = 75.22°, I = 15

Atomic structure:
Unit cell a=7.827 b=7.827 c=7.662 alpha=90.00 beta=90.00 gamma=90.00
Positions (direct):
Sb1 0.250 0.750 0.250
Sb2 0.750 0.250 0.750
Br1 0.030 0.250 0.574
Br2 0.250 0.030 0.074
Br3 0.250 0.470 0.074
Br4 0.470 0.250 0.574
Br5 0.530 0.750 0.426
Br6 0.750 0.530 0.926
Br7 0.750 0.970 0.926
Br8 0.970 0.750 0.426

CsKTm2Br8: simulated powder X-ray diffraction pattern (copper Kα), based on a GGA-PBE-relaxed structure.
Lines closer than 0.1° are merged.

Largest 10 diffraction maxima, in order of falling intensity, 10° ≤ 2θ ≤ 90°:
3.607 Å, 2θ = 24.68°, I = 100; 5.040 Å, 2θ = 17.60°, I = 62; 2.225 Å, 2θ = 40.55°, I = 58; 2.134 Å, 2θ = 42.35°, I = 54; 6.122 Å, 2θ = 14.47°, I = 44; 3.853 Å, 2θ = 23.08°, I = 41; 3.332 Å, 2θ = 26.76°, I = 38; 3.080 Å, 2θ = 28.99°, I = 29; 2.397 Å, 2θ = 37.53°, I = 26; 3.418 Å, 2θ = 26.07°, I = 25

Atomic structure:
Unit cell a=11.177 b=11.177 c=11.177 alpha=40.33 beta=40.33 gamma=40.33
Positions (direct):
Cs1 0.000 0.000 0.000
K1 0.500 0.500 0.500
Tm1 0.252 0.252 0.252
Tm2 0.748 0.748 0.748
Br1 0.077 0.813 0.426
Br2 0.187 0.574 0.923
Br3 0.337 0.337 0.337
Br4 0.426 0.077 0.813
Br5 0.574 0.923 0.187
Br6 0.663 0.663 0.663
Br7 0.813 0.426 0.077
Br8 0.923 0.187 0.574

Ta4Cr3Os: simulated powder X-ray diffraction pattern (copper Kα), based on a GGA-PBE-relaxed structure.
Lines closer than 0.1° are merged.

Largest 10 diffraction maxima, in order of falling intensity, 10° ≤ 2θ ≤ 90°:
2.209 Å, 2θ = 40.85°, I = 100; 1.275 Å, 2θ = 74.39°, I = 34; 1.562 Å, 2θ = 59.15°, I = 17; 3.124 Å, 2θ = 28.57°, I = 15; 1.104 Å, 2θ = 88.54°, I = 11; 1.397 Å, 2θ = 66.98°, I = 6; 1.804 Å, 2θ = 50.61°, I = 5; 3.607 Å, 2θ = 24.68°, I = 4; 4.420 Å, 2θ = 20.09°, I = 3; 2.795 Å, 2θ = 32.03°, I = 3

Atomic structure:
Unit cell a=4.420 b=4.420 c=6.242 alpha=90.00 beta=90.00 gamma=90.00
Positions (direct):
Ta1 0.000 0.500 0.246
Ta2 0.000 0.500 0.754
Ta3 0.500 0.000 0.246
Ta4 0.500 0.000 0.754
Cr1 0.000 0.000 0.000
Cr2 0.000 0.000 0.500
Cr3 0.500 0.500 0.000
Os1 0.500 0.500 0.500

NdDy3Co2: simulated powder X-ray diffraction pattern (copper Kα), based on a GGA-PBE-relaxed structure.
Lines closer than 0.1° are merged.

Largest 10 diffraction maxima, in order of falling intensity, 10° ≤ 2θ ≤ 90°:
2.707 Å, 2θ = 33.09°, I = 100; 3.012 Å, 2θ = 29.66°, I = 78; 2.737 Å, 2θ = 32.72°, I = 53; 2.919 Å, 2θ = 30.63°, I = 48; 2.887 Å, 2θ = 30.98°, I = 41; 2.864 Å, 2θ = 31.23°, I = 33; 1.875 Å, 2θ = 48.56°, I = 31; 2.482 Å, 2θ = 36.19°, I = 31; 2.198 Å, 2θ = 41.06°, I = 30; 1.682 Å, 2θ = 54.57°, I = 28

Atomic structure:
Unit cell a=8.490 b=8.490 c=11.848 alpha=124.01 beta=124.01 gamma=25.52
Positions (direct):
Nd1 0.156 0.156 0.245
Nd2 0.844 0.844 0.755
Dy1 0.158 0.158 0.750
Dy2 0.414 0.414 0.062
Dy3 0.416 0.416 0.553
Dy4 0.584 0.584 0.447
Dy5 0.586 0.586 0.938
Dy6 0.842 0.842 0.250
Co1 0.234 0.234 0.046
Co2 0.236 0.236 0.550
Co3 0.764 0.764 0.450
Co4 0.766 0.766 0.954

Tb4Er10Tm: simulated powder X-ray diffraction pattern (copper Kα), based on a GGA-PBE-relaxed structure.
Lines closer than 0.1° are merged.

Largest 10 diffraction maxima, in order of falling intensity, 10° ≤ 2θ ≤ 90°:
2.690 Å, 2θ = 33.31°, I = 100; 1.553 Å, 2θ = 59.53°, I = 38; 4.392 Å, 2θ = 20.22°, I = 25; 1.902 Å, 2θ = 47.83°, I = 18; 3.804 Å, 2θ = 23.39°, I = 15; 2.294 Å, 2θ = 39.28°, I = 14; 1.345 Å, 2θ = 69.96°, I = 12; 1.203 Å, 2θ = 79.67°, I = 11; 1.701 Å, 2θ = 53.90°, I = 6; 1.745 Å, 2θ = 52.43°, I = 6

Atomic structure:
Unit cell a=9.320 b=9.320 c=9.320 alpha=99.56 beta=99.56 gamma=131.89
Positions (direct):
Tb1 0.101 0.299 0.400
Tb2 0.299 0.899 0.198
Tb3 0.701 0.101 0.802
Tb4 0.899 0.701 0.600
Er1 0.051 0.152 0.701
Er2 0.152 0.451 0.101
Er3 0.250 0.750 0.500
Er4 0.350 0.051 0.899
Er5 0.451 0.350 0.299
Er6 0.549 0.650 0.701
Er7 0.650 0.949 0.101
Er8 0.750 0.250 0.500
Er9 0.848 0.549 0.899
Er10 0.949 0.848 0.299
Tm1 0.500 0.500 0.000

Ho5Ag2Hg2: simulated powder X-ray diffraction pattern (copper Kα), based on a GGA-PBE-relaxed structure.
Lines closer than 0.1° are merged.

Largest 10 diffraction maxima, in order of falling intensity, 10° ≤ 2θ ≤ 90°:
2.808 Å, 2θ = 31.87°, I = 100; 2.888 Å, 2θ = 30.97°, I = 99; 2.796 Å, 2θ = 32.01°, I = 87; 2.622 Å, 2θ = 34.20°, I = 80; 2.656 Å, 2θ = 33.75°, I = 73; 2.844 Å, 2θ = 31.46°, I = 58; 2.360 Å, 2θ = 38.13°, I = 52; 2.344 Å, 2θ = 38.40°, I = 51; 2.191 Å, 2θ = 41.19°, I = 36; 1.426 Å, 2θ = 65.46°, I = 34

Atomic structure:
Unit cell a=9.212 b=9.212 c=7.544 alpha=90.00 beta=90.00 gamma=47.91
Positions (direct):
Ho1 0.000 0.000 0.000
Ho2 0.040 0.685 0.672
Ho3 0.185 0.540 0.172
Ho4 0.315 0.960 0.672
Ho5 0.460 0.815 0.172
Ho6 0.500 0.500 0.500
Ho7 0.540 0.185 0.828
Ho8 0.685 0.040 0.328
Ho9 0.815 0.460 0.828
Ho10 0.960 0.315 0.328
Ag1 0.128 0.872 0.369
Ag2 0.372 0.628 0.869
Ag3 0.628 0.372 0.131
Ag4 0.872 0.128 0.631
Hg1 0.217 0.217 0.000
Hg2 0.283 0.283 0.500
Hg3 0.717 0.717 0.500
Hg4 0.783 0.783 0.000

AcPaRu: simulated powder X-ray diffraction pattern (copper Kα), based on a GGA-PBE-relaxed structure.
Lines closer than 0.1° are merged.

Largest 10 diffraction maxima, in order of falling intensity, 10° ≤ 2θ ≤ 90°:
2.727 Å, 2θ = 32.84°, I = 100; 3.150 Å, 2θ = 28.33°, I = 97; 3.073 Å, 2θ = 29.06°, I = 74; 2.250 Å, 2θ = 40.07°, I = 66; 2.990 Å, 2θ = 29.89°, I = 62; 2.902 Å, 2θ = 30.81°, I = 62; 3.189 Å, 2θ = 27.98°, I = 47; 2.369 Å, 2θ = 37.98°, I = 46; 1.714 Å, 2θ = 53.45°, I = 43; 1.957 Å, 2θ = 46.39°, I = 39

Atomic structure:
Unit cell a=3.914 b=5.918 c=14.882 alpha=90.00 beta=90.00 gamma=90.00
Positions (direct):
Ac1 0.001 0.086 0.175
Ac2 0.499 0.914 0.675
Ac3 0.501 0.414 0.825
Ac4 0.999 0.586 0.325
Pa1 0.001 0.908 0.918
Pa2 0.499 0.092 0.418
Pa3 0.501 0.592 0.082
Pa4 0.999 0.408 0.582
Ru1 0.001 0.441 0.987
Ru2 0.499 0.559 0.487
Ru3 0.501 0.059 0.013
Ru4 0.999 0.941 0.513

CaPrGd: simulated powder X-ray diffraction pattern (copper Kα), based on a GGA-PBE-relaxed structure.
Lines closer than 0.1° are merged.

Largest 10 diffraction maxima, in order of falling intensity, 10° ≤ 2θ ≤ 90°:
3.034 Å, 2θ = 29.43°, I = 100; 2.628 Å, 2θ = 34.12°, I = 50; 1.585 Å, 2θ = 58.22°, I = 40; 1.858 Å, 2θ = 49.02°, I = 35; 7.887 Å, 2θ = 11.22°, I = 35; 1.206 Å, 2θ = 79.49°, I = 15; 1.175 Å, 2θ = 81.99°, I = 14; 2.405 Å, 2θ = 37.39°, I = 13; 3.617 Å, 2θ = 24.61°, I = 12; 1.517 Å, 2θ = 61.08°, I = 11

Atomic structure:
Unit cell a=3.716 b=3.716 c=15.774 alpha=90.00 beta=90.00 gamma=90.00
Positions (direct):
Ca1 0.000 0.000 0.000
Ca2 0.500 0.500 0.500
Pr1 0.000 0.000 0.676
Pr2 0.500 0.500 0.176
Gd1 0.000 0.000 0.326
Gd2 0.500 0.500 0.826

CdPd2Pt2: simulated powder X-ray diffraction pattern (copper Kα), based on a GGA-PBE-relaxed structure.
Lines closer than 0.1° are merged.

Largest 10 diffraction maxima, in order of falling intensity, 10° ≤ 2θ ≤ 90°:
2.317 Å, 2θ = 38.87°, I = 100; 2.325 Å, 2θ = 38.72°, I = 97; 2.027 Å, 2θ = 44.70°, I = 32; 2.010 Å, 2θ = 45.10°, I = 31; 1.994 Å, 2θ = 45.49°, I = 31; 1.427 Å, 2θ = 65.38°, I = 21; 1.421 Å, 2θ = 65.69°, I = 20; 1.219 Å, 2θ = 78.46°, I = 13; 1.220 Å, 2θ = 78.36°, I = 12; 1.214 Å, 2θ = 78.84°, I = 12

Atomic structure:
Unit cell a=8.912 b=4.054 c=6.320 alpha=90.00 beta=134.64 gamma=90.00
Positions (direct):
Cd1 0.000 0.000 0.000
Cd2 0.500 0.500 0.000
Pd1 0.301 0.500 0.399
Pd2 0.396 0.000 0.195
Pd3 0.801 0.000 0.399
Pd4 0.896 0.500 0.195
Pt1 0.091 0.500 0.782
Pt2 0.196 0.000 0.598
Pt3 0.591 0.000 0.782
Pt4 0.696 0.500 0.598

Sr3Si3Au2: simulated powder X-ray diffraction pattern (copper Kα), based on a GGA-PBE-relaxed structure.
Lines closer than 0.1° are merged.

Largest 10 diffraction maxima, in order of falling intensity, 10° ≤ 2θ ≤ 90°:
2.873 Å, 2θ = 31.13°, I = 100; 2.349 Å, 2θ = 38.31°, I = 98; 2.903 Å, 2θ = 30.81°, I = 84; 5.443 Å, 2θ = 16.29°, I = 65; 4.011 Å, 2θ = 22.16°, I = 46; 2.203 Å, 2θ = 40.96°, I = 36; 2.893 Å, 2θ = 30.91°, I = 35; 4.118 Å, 2θ = 21.58°, I = 31; 1.606 Å, 2θ = 57.37°, I = 25; 1.548 Å, 2θ = 59.75°, I = 23

Atomic structure:
Unit cell a=6.191 b=6.191 c=16.043 alpha=90.00 beta=90.00 gamma=138.30
Positions (direct):
Sr1 0.061 0.939 0.750
Sr2 0.351 0.649 0.598
Sr3 0.351 0.649 0.902
Sr4 0.649 0.351 0.098
Sr5 0.649 0.351 0.402
Sr6 0.939 0.061 0.250
Si1 0.073 0.927 0.550
Si2 0.073 0.927 0.950
Si3 0.231 0.769 0.250
Si4 0.769 0.231 0.750
Si5 0.927 0.073 0.050
Si6 0.927 0.073 0.450
Au1 0.361 0.639 0.116
Au2 0.361 0.639 0.384
Au3 0.639 0.361 0.616
Au4 0.639 0.361 0.884

La6NbGa11O28: simulated powder X-ray diffraction pattern (copper Kα), based on a GGA-PBE-relaxed structure.
Lines closer than 0.1° are merged.

Largest 10 diffraction maxima, in order of falling intensity, 10° ≤ 2θ ≤ 90°:
2.956 Å, 2θ = 30.24°, I = 100; 3.241 Å, 2θ = 27.52°, I = 83; 1.876 Å, 2θ = 48.53°, I = 33; 2.720 Å, 2θ = 32.92°, I = 29; 1.863 Å, 2θ = 48.90°, I = 24; 1.573 Å, 2θ = 58.68°, I = 20; 1.996 Å, 2θ = 45.43°, I = 19; 2.590 Å, 2θ = 34.63°, I = 18; 2.409 Å, 2θ = 37.34°, I = 15; 1.760 Å, 2θ = 51.95°, I = 13

Atomic structure:
Unit cell a=9.794 b=9.794 c=10.360 alpha=121.90 beta=121.90 gamma=50.17
Positions (direct):
La1 0.000 0.000 0.000
La2 0.415 0.158 0.286
La3 0.419 0.161 0.791
La4 0.839 0.581 0.209
La5 0.842 0.585 0.714
La6 0.985 0.015 0.500
Nb1 0.415 0.585 0.500
Ga1 0.083 0.254 0.403
Ga2 0.084 0.245 0.899
Ga3 0.175 0.587 0.637
Ga4 0.177 0.578 0.121
Ga5 0.413 0.825 0.363
Ga6 0.418 0.582 0.000
Ga7 0.422 0.823 0.879
Ga8 0.653 0.339 0.756
Ga9 0.661 0.347 0.244
Ga10 0.746 0.917 0.597
Ga11 0.755 0.916 0.101
O1 0.079 0.252 0.575
O2 0.088 0.249 0.078
O3 0.102 0.434 0.917
O4 0.106 0.442 0.426
O5 0.193 0.725 0.575
O6 0.200 0.729 0.087
O7 0.270 0.044 0.306
O8 0.271 0.800 0.913
O9 0.275 0.807 0.425
O10 0.276 0.037 0.809
O11 0.334 0.443 0.272
O12 0.349 0.436 0.769
O13 0.486 0.366 0.048
O14 0.500 0.360 0.546
O15 0.557 0.666 0.728
O16 0.558 0.894 0.574
O17 0.564 0.651 0.231
O18 0.566 0.898 0.083
O19 0.634 0.514 0.952
O20 0.640 0.500 0.454
O21 0.726 0.122 0.779
O22 0.735 0.129 0.275
O23 0.748 0.921 0.425
O24 0.751 0.912 0.922
O25 0.871 0.265 0.725
O26 0.878 0.274 0.221
O27 0.956 0.730 0.694
O28 0.963 0.724 0.191